# 1
Structure and calculated powder diffraction line list of AcPmGa4 (a structure optimized by DFT (GGA-PBE); Cu Ka).
Lines closer than 0.1° are merged.

abc: 4.3277 4.3277 8.9747
angles: 90.00 90.00 120.00
Space group P6/mmm (No. 191)
Symmetry-distinct sites (fractional):
1 Ac 0.0000 0.0000 0.0000 [1 per cell]
2 Pm 0.0000 0.0000 0.5000 [1 per cell]
3 Ga 0.3333 0.6667 0.2667 [4 per cell]

Main lines, in order of rising 2θ (10 to 90 degrees two-theta):
index  d/Å  Rel. int.
1 0 0  3.748  18
1 0 2  2.877  100
0 0 4  2.244  13
1 1 0  2.164  38
1 0 4  1.925  7
2 0 2  1.729  23
1 1 4  1.558  25
1 0 6  1.389  10
2 1 2  1.351  20
3 0 4  1.091  8


# 2
Structure and calculated powder diffraction line list of TmCd2Hg4 (a structure optimized by DFT (GGA-PBE); Cu Ka).
Lines closer than 0.1° are merged.

abc: 4.9878 4.9878 24.2319
angles: 90.00 90.00 120.00
Space group R-3m (No. 166, hexagonal axes)
Symmetry-distinct sites (fractional):
1 Tm 0.0000 0.0000 0.0000 [3 per cell]
2 Cd 0.0000 0.0000 0.2530 [6 per cell]
3 Hg 0.0000 0.0000 0.1314 [6 per cell]
4 Hg 0.0000 0.0000 0.3835 [6 per cell]

Main lines, in order of rising 2θ (10 to 90 degrees two-theta):
index  d/Å  Rel. int.
1 0 4  3.517  25
1 0 7  2.701  13
1 1 0  2.494  100
0 1 8  2.480  89
2 0 8  1.759  32
3 0 0  1.440  18
1 2 8  1.437  33
1 0 16  1.429  12
2 2 0  1.247  11
3 1 8  1.114  15